No. 1
LaSi2Tc2: computed powder X-ray diffraction pattern (λ = 1.5418 Å (Cu Kα)), based on a crystal structure in OQMD, relaxed with GGA-PBE.
Neutral-atom scattering factors, no anomalous dispersion.

Cell and atoms:
```
LaSi2Tc2
1.0
-2.075 2.120 10.477
2.075 -2.120 10.477
2.075 2.120 -10.477
La Si Tc
2 4 4
direct
0.413 0.163 0.250
0.587 0.837 0.750
0.029 0.279 0.750
0.147 0.397 0.750
0.853 0.603 0.250
0.971 0.721 0.250
0.214 0.964 0.250
0.288 0.538 0.750
0.712 0.462 0.250
0.786 0.036 0.750
```

Most intense lines, 10° ≤ 2θ ≤ 80°, sorted by position:
2θ 24.96, d = 3.568 Å, I 17.9
2θ 25.51, d = 3.492 Å, I 13.9
2θ 29.98, d = 2.981 Å, I 18.6
2θ 34.76, d = 2.581 Å, I 100.0
2θ 36.75, d = 2.445 Å, I 11.2
2θ 39.88, d = 2.261 Å, I 40.3
2θ 42.64, d = 2.120 Å, I 28.8
2θ 43.61, d = 2.076 Å, I 30.3
2θ 53.55, d = 1.711 Å, I 17.3
2θ 62.64, d = 1.483 Å, I 18.0

---

No. 2
La2ZrSi2: computed powder X-ray diffraction pattern (λ = 1.5418 Å (Cu Kα)), based on a crystal structure in OQMD, relaxed with GGA-PBE.
Neutral-atom scattering factors, no anomalous dispersion.

Cell and atoms:
```
La2ZrSi2
1.0
7.441 0.000 0.000
0.000 7.441 0.000
0.000 0.000 4.515
La Zr Si
4 2 4
direct
0.178 0.322 0.000
0.322 0.822 0.000
0.678 0.178 0.000
0.822 0.678 0.000
0.000 0.000 0.500
0.500 0.500 0.500
0.121 0.621 0.500
0.379 0.121 0.500
0.621 0.879 0.500
0.879 0.379 0.500
```

Most intense lines, 10° ≤ 2θ ≤ 80°, sorted by position:
2θ 26.00, d = 3.426 Å, I 23.6
2θ 26.79, d = 3.328 Å, I 38.2
2θ 31.15, d = 2.871 Å, I 77.6
2θ 33.45, d = 2.679 Å, I 100.0
2θ 34.08, d = 2.631 Å, I 16.9
2θ 38.25, d = 2.353 Å, I 35.8
2θ 39.93, d = 2.258 Å, I 25.2
2θ 54.78, d = 1.676 Å, I 24.7
2θ 56.27, d = 1.635 Å, I 22.4
2θ 56.49, d = 1.629 Å, I 22.6

---

No. 3
La4Sm3: computed powder X-ray diffraction pattern (λ = 1.5418 Å (Cu Kα)), based on a crystal structure in OQMD, relaxed with GGA-PBE.
Neutral-atom scattering factors, no anomalous dispersion.

Cell and atoms:
```
La4Sm3
1.0
-5.023 5.023 5.023
5.023 -5.023 5.023
5.023 5.023 -5.023
La Sm
8 6
direct
0.000 0.348 0.500
0.000 0.848 0.500
0.152 0.152 0.152
0.348 0.500 0.000
0.500 0.000 0.348
0.500 0.000 0.848
0.652 0.652 0.652
0.848 0.500 0.000
0.125 0.750 0.875
0.250 0.625 0.375
0.375 0.250 0.625
0.625 0.375 0.250
0.750 0.875 0.125
0.875 0.125 0.750
```

Most intense lines, 10° ≤ 2θ ≤ 80°, sorted by position:
2θ 28.09, d = 3.177 Å, I 100.0
2θ 33.37, d = 2.685 Å, I 72.8
2θ 40.14, d = 2.246 Å, I 15.6
2θ 42.19, d = 2.142 Å, I 11.0
2θ 44.17, d = 2.051 Å, I 16.6
2θ 46.07, d = 1.970 Å, I 18.0
2θ 56.47, d = 1.630 Å, I 29.5
2θ 58.07, d = 1.588 Å, I 12.1
2θ 59.65, d = 1.550 Å, I 16.0
2θ 68.66, d = 1.367 Å, I 16.4

---

No. 4
La2SmSn7: computed powder X-ray diffraction pattern (λ = 1.5418 Å (Cu Kα)), based on a crystal structure in OQMD, relaxed with GGA-PBE.
Neutral-atom scattering factors, no anomalous dispersion.

Cell and atoms:
```
La2SmSn7
1.0
2.291 -13.071 0.000
2.291 13.071 0.000
0.000 0.000 4.688
La Sm Sn
2 1 7
direct
0.185 0.815 0.000
0.815 0.185 0.000
0.000 0.000 0.000
0.094 0.906 0.500
0.289 0.711 0.500
0.407 0.593 0.000
0.500 0.500 0.500
0.593 0.407 0.000
0.711 0.289 0.500
0.906 0.094 0.500
```

Most intense lines, 10° ≤ 2θ ≤ 80°, sorted by position:
2θ 32.24, d = 2.777 Å, I 100.0
2θ 34.30, d = 2.614 Å, I 16.1
2θ 38.40, d = 2.344 Å, I 17.1
2θ 39.32, d = 2.291 Å, I 16.1
2θ 52.43, d = 1.745 Å, I 9.8
2θ 53.15, d = 1.723 Å, I 9.5
2θ 56.13, d = 1.639 Å, I 11.6
2θ 65.59, d = 1.423 Å, I 13.4
2θ 66.85, d = 1.399 Å, I 12.7
2θ 67.46, d = 1.388 Å, I 9.6

---

No. 5
LaSmTe4: computed powder X-ray diffraction pattern (λ = 1.5418 Å (Cu Kα)), based on a crystal structure in OQMD, relaxed with GGA-PBE.
Neutral-atom scattering factors, no anomalous dispersion.

Cell and atoms:
```
LaSmTe4
1.0
4.525 0.000 0.000
0.000 4.525 0.000
0.000 0.000 9.177
La Sm Te
1 1 4
direct
0.000 0.000 0.000
0.500 0.500 0.455
0.000 0.000 0.363
0.000 0.500 0.723
0.500 0.000 0.723
0.500 0.500 0.099
```

Most intense lines, 10° ≤ 2θ ≤ 80°, sorted by position:
2θ 27.88, d = 3.200 Å, I 22.9
2θ 29.19, d = 3.059 Å, I 38.9
2θ 29.56, d = 3.022 Å, I 100.0
2θ 34.16, d = 2.625 Å, I 97.0
2θ 35.42, d = 2.534 Å, I 50.7
2θ 39.84, d = 2.263 Å, I 65.6
2θ 50.15, d = 1.819 Å, I 34.3
2θ 54.35, d = 1.688 Å, I 29.6
2θ 57.61, d = 1.600 Å, I 22.1
2θ 68.71, d = 1.366 Å, I 25.1

---

No. 6
LaSmZn4: computed powder X-ray diffraction pattern (λ = 1.5418 Å (Cu Kα)), based on a crystal structure in OQMD, relaxed with GGA-PBE.
Neutral-atom scattering factors, no anomalous dispersion.

Cell and atoms:
```
LaSmZn4
1.0
3.470 0.000 0.000
0.000 4.632 0.000
0.000 0.000 8.034
La Sm Zn
1 1 4
direct
0.000 0.000 0.000
0.000 0.500 0.500
0.500 0.000 0.338
0.500 0.000 0.662
0.500 0.500 0.173
0.500 0.500 0.827
```

Most intense lines, 10° ≤ 2θ ≤ 80°, sorted by position:
2θ 22.15, d = 4.014 Å, I 16.6
2θ 34.15, d = 2.625 Å, I 100.0
2θ 38.86, d = 2.318 Å, I 62.1
2θ 45.18, d = 2.007 Å, I 2.6
2θ 52.68, d = 1.737 Å, I 28.6
2θ 52.76, d = 1.735 Å, I 8.4
2θ 57.90, d = 1.593 Å, I 2.6
2θ 67.38, d = 1.390 Å, I 42.3
2θ 67.44, d = 1.389 Å, I 7.8
2θ 70.36, d = 1.338 Å, I 10.2

---

No. 7
LaTa: computed powder X-ray diffraction pattern (λ = 1.5418 Å (Cu Kα)), based on a crystal structure in OQMD, relaxed with GGA-PBE.
Neutral-atom scattering factors, no anomalous dispersion.

Cell and atoms:
```
LaTa
1.0
3.145 0.000 0.000
-1.572 2.724 0.000
0.000 0.000 5.579
La Ta
1 1
direct
0.000 0.000 0.000
0.667 0.333 0.500
```

Most intense lines, 10° ≤ 2θ ≤ 80°, sorted by position:
2θ 32.08, d = 2.790 Å, I 31.7
2θ 32.89, d = 2.724 Å, I 23.4
2θ 36.72, d = 2.448 Å, I 100.0
2θ 46.61, d = 1.949 Å, I 17.9
2θ 58.72, d = 1.572 Å, I 17.1
2θ 60.26, d = 1.536 Å, I 23.8
2θ 68.50, d = 1.370 Å, I 21.5
2θ 71.29, d = 1.323 Å, I 14.5
2θ 76.77, d = 1.242 Å, I 4.1
2θ 78.09, d = 1.224 Å, I 4.0

---

No. 8
La2U2Tc: computed powder X-ray diffraction pattern (λ = 1.5418 Å (Cu Kα)), based on a crystal structure in OQMD, relaxed with GGA-PBE.
Neutral-atom scattering factors, no anomalous dispersion.

Cell and atoms:
```
La2U2Tc
1.0
3.629 0.000 0.000
0.000 3.629 0.000
0.000 0.000 10.171
La U Tc
2 2 1
direct
0.000 0.000 0.169
0.000 0.000 0.831
0.000 0.500 0.500
0.500 0.000 0.500
0.500 0.500 0.000
```

Most intense lines, 10° ≤ 2θ ≤ 80°, sorted by position:
2θ 17.44, d = 5.086 Å, I 52.2
2θ 26.29, d = 3.390 Å, I 46.7
2θ 30.26, d = 2.954 Å, I 20.4
2θ 36.10, d = 2.488 Å, I 100.0
2θ 36.26, d = 2.477 Å, I 29.1
2θ 39.33, d = 2.291 Å, I 41.7
2θ 50.28, d = 1.814 Å, I 28.5
2θ 50.53, d = 1.806 Å, I 18.8
2θ 57.62, d = 1.600 Å, I 22.1
2θ 57.84, d = 1.594 Å, I 27.8

---

No. 9
La2Th: computed powder X-ray diffraction pattern (λ = 1.5418 Å (Cu Kα)), based on a crystal structure in OQMD, relaxed with GGA-PBE.
Neutral-atom scattering factors, no anomalous dispersion.

Cell and atoms:
```
La2Th
1.0
0.000 6.840 6.840
6.840 0.000 6.840
6.840 6.840 0.000
La Th
4 2
direct
0.000 0.000 0.000
0.000 0.000 0.500
0.000 0.500 0.000
0.500 0.000 0.000
0.125 0.125 0.125
0.875 0.875 0.875
```

Most intense lines, 10° ≤ 2θ ≤ 80°, sorted by position:
2θ 11.20, d = 7.898 Å, I 100.0
2θ 18.34, d = 4.836 Å, I 28.6
2θ 22.52, d = 3.949 Å, I 18.3
2θ 28.44, d = 3.138 Å, I 35.3
2θ 32.05, d = 2.792 Å, I 14.8
2θ 37.18, d = 2.418 Å, I 24.8
2θ 38.95, d = 2.312 Å, I 30.7
2θ 43.90, d = 2.062 Å, I 9.4
2θ 47.47, d = 1.915 Å, I 17.6
2θ 61.79, d = 1.501 Å, I 12.1

---

No. 10
LaYTl2Zn2: computed powder X-ray diffraction pattern (λ = 1.5418 Å (Cu Kα)), based on a crystal structure in OQMD, relaxed with GGA-PBE.
Neutral-atom scattering factors, no anomalous dispersion.

Cell and atoms:
```
LaYTl2Zn2
1.0
4.751 0.000 0.000
-2.376 4.115 0.000
0.000 0.000 7.630
La Y Tl Zn
1 1 2 2
direct
0.000 0.000 0.000
0.000 0.000 0.501
0.333 0.667 0.767
0.667 0.333 0.289
0.333 0.667 0.214
0.667 0.333 0.688
```

Most intense lines, 10° ≤ 2θ ≤ 80°, sorted by position:
2θ 23.32, d = 3.815 Å, I 11.2
2θ 24.58, d = 3.622 Å, I 53.5
2θ 31.99, d = 2.798 Å, I 100.0
2θ 37.87, d = 2.376 Å, I 83.9
2θ 41.75, d = 2.163 Å, I 25.7
2θ 44.95, d = 2.017 Å, I 12.5
2θ 50.39, d = 1.811 Å, I 27.9
2θ 62.44, d = 1.487 Å, I 22.0
2θ 64.73, d = 1.440 Å, I 26.1
2θ 68.40, d = 1.372 Å, I 14.6

---

No. 11
LaZn11: computed powder X-ray diffraction pattern (λ = 1.5418 Å (Cu Kα)), based on a crystal structure in OQMD, relaxed with GGA-PBE.
Neutral-atom scattering factors, no anomalous dispersion.

Cell and atoms:
```
LaZn11
1.0
-5.312 5.312 3.435
5.312 -5.312 3.435
5.312 5.312 -3.435
La Zn
2 22
direct
0.375 0.625 0.750
0.625 0.375 0.250
0.000 0.000 0.000
0.000 0.000 0.500
0.000 0.500 0.000
0.125 0.875 0.250
0.134 0.557 0.334
0.134 0.800 0.578
0.200 0.277 0.334
0.200 0.866 0.922
0.277 0.200 0.834
0.277 0.443 0.078
0.443 0.277 0.578
0.443 0.866 0.166
0.500 0.000 0.500
0.557 0.134 0.834
0.557 0.723 0.422
0.723 0.557 0.922
0.723 0.800 0.166
0.800 0.134 0.078
0.800 0.723 0.666
0.866 0.200 0.422
0.866 0.443 0.666
0.875 0.125 0.750
```

Most intense lines, 10° ≤ 2θ ≤ 80°, sorted by position:
2θ 33.08, d = 2.708 Å, I 39.5
2θ 37.44, d = 2.402 Å, I 100.0
2θ 37.87, d = 2.376 Å, I 74.2
2θ 40.29, d = 2.238 Å, I 33.8
2θ 43.05, d = 2.101 Å, I 16.3
2θ 43.89, d = 2.063 Å, I 17.8
2θ 44.64, d = 2.030 Å, I 59.1
2θ 46.48, d = 1.954 Å, I 33.1
2θ 47.97, d = 1.896 Å, I 12.9
2θ 68.11, d = 1.377 Å, I 30.3

---

No. 12
LaZn: computed powder X-ray diffraction pattern (λ = 1.5418 Å (Cu Kα)), based on a crystal structure in OQMD, relaxed with GGA-PBE.
Neutral-atom scattering factors, no anomalous dispersion.

Cell and atoms:
```
LaZn
1.0
4.828 0.000 0.000
0.000 10.466 0.000
0.000 0.000 6.077
La Zn
6 6
direct
0.000 0.046 0.000
0.000 0.323 0.598
0.000 0.677 0.098
0.000 0.954 0.500
0.500 0.224 0.161
0.500 0.776 0.661
0.000 0.392 0.089
0.000 0.608 0.589
0.500 0.116 0.662
0.500 0.488 0.858
0.500 0.512 0.358
0.500 0.884 0.162
```

Most intense lines, 10° ≤ 2θ ≤ 80°, sorted by position:
2θ 25.06, d = 3.554 Å, I 46.1
2θ 29.14, d = 3.064 Å, I 22.9
2θ 29.39, d = 3.039 Å, I 35.1
2θ 31.64, d = 2.828 Å, I 100.0
2θ 34.12, d = 2.628 Å, I 33.7
2θ 34.89, d = 2.572 Å, I 45.1
2θ 35.00, d = 2.564 Å, I 95.0
2θ 35.96, d = 2.497 Å, I 54.3
2θ 37.25, d = 2.414 Å, I 67.6
2θ 48.17, d = 1.889 Å, I 26.7

---

No. 13
La7Zn3: computed powder X-ray diffraction pattern (λ = 1.5418 Å (Cu Kα)), based on a crystal structure in OQMD, relaxed with GGA-PBE.
Neutral-atom scattering factors, no anomalous dispersion.

Cell and atoms:
```
La7Zn3
1.0
10.413 0.000 0.000
-5.206 9.018 0.000
0.000 0.000 6.617
La Zn
14 6
direct
0.069 0.534 0.000
0.124 0.249 0.748
0.124 0.876 0.748
0.249 0.124 0.248
0.333 0.667 0.584
0.466 0.534 0.000
0.466 0.931 0.000
0.534 0.069 0.500
0.534 0.466 0.500
0.667 0.333 0.084
0.751 0.876 0.748
0.876 0.124 0.248
0.876 0.751 0.248
0.931 0.466 0.500
0.197 0.393 0.302
0.197 0.803 0.302
0.393 0.197 0.802
0.607 0.803 0.302
0.803 0.197 0.802
0.803 0.607 0.802
```

Most intense lines, 10° ≤ 2θ ≤ 80°, sorted by position:
2θ 26.15, d = 3.408 Å, I 18.6
2θ 28.74, d = 3.106 Å, I 47.4
2θ 29.48, d = 3.030 Å, I 100.0
2θ 32.72, d = 2.737 Å, I 82.6
2θ 33.60, d = 2.667 Å, I 61.2
2θ 34.45, d = 2.603 Å, I 40.3
2θ 52.14, d = 1.754 Å, I 27.2
2θ 52.60, d = 1.740 Å, I 23.4
2θ 52.75, d = 1.735 Å, I 20.5
2θ 61.45, d = 1.509 Å, I 17.5

---

No. 14
La3Zn4: computed powder X-ray diffraction pattern (λ = 1.5418 Å (Cu Kα)), based on a crystal structure in OQMD, relaxed with GGA-PBE.
Neutral-atom scattering factors, no anomalous dispersion.

Cell and atoms:
```
La3Zn4
1.0
8.998 0.000 0.000
-4.499 7.792 0.000
0.000 0.000 4.693
La Zn
6 8
direct
0.074 0.439 0.250
0.365 0.926 0.250
0.439 0.365 0.750
0.561 0.635 0.250
0.635 0.074 0.750
0.926 0.561 0.750
0.029 0.193 0.750
0.164 0.971 0.750
0.193 0.164 0.250
0.333 0.667 0.750
0.667 0.333 0.250
0.807 0.836 0.750
0.836 0.029 0.250
0.971 0.807 0.250
```

Most intense lines, 10° ≤ 2θ ≤ 80°, sorted by position:
2θ 27.46, d = 3.248 Å, I 22.5
2θ 30.35, d = 2.945 Å, I 29.0
2θ 36.00, d = 2.495 Å, I 100.0
2θ 38.36, d = 2.347 Å, I 22.6
2θ 41.80, d = 2.161 Å, I 6.4
2θ 49.68, d = 1.835 Å, I 14.5
2θ 53.92, d = 1.700 Å, I 13.0
2θ 66.55, d = 1.405 Å, I 9.7
2θ 67.83, d = 1.382 Å, I 15.0
2θ 68.10, d = 1.377 Å, I 12.6